Computed powder XRD pattern
Compound: Ta4In
Radiation: Cu Kα X-rays
Structure: a cell relaxed with GGA-PBE
Lines closer than 0.1° are merged.

Structural model:
abc: 7.275 7.275 2.908
angles: 96.38 96.38 38.28
Element x y z (fractional)
Ta: 0.104 0.104 0.423
Ta: 0.293 0.293 0.194
Ta: 0.707 0.707 0.806
Ta: 0.896 0.896 0.577
In: 0.500 0.500 0.000

Main lines, low angle first (10 to 90 degrees two-theta):
Position (°2θ)  I_rel
37.67  100
37.98  64
38.39  32
54.18  11
54.91  23
67.90  17
68.04  12
68.26  12
68.74  17
69.37  11